Structure and calculated powder diffraction line list of GdB2Os (DFT lattice parameters and positions (PBE); CuKα).
No peak broadening, texture or thermal motion is included.

Principal peaks in the range 10° ≤ 2θ ≤ 80°, sorted by position:
Position (°2θ)  I_rel  h k l
27.8  32  0 0 2
33.6  67  0 2 0
34.6  28  2 1 0
36.0  80  1 1 2
37.5  100  2 1 1
62.6  39  2 3 1

Atomic structure:
Cell lengths 5.922, 5.338, 6.408 Å; angles 90.00, 90.00, 90.00 degrees
Space group Pnma (No. 62)
Unique sites:
Gd 0.010 0.250 0.163 x4
B 0.133 0.582 0.460 x8
Os 0.178 0.250 0.684 x4

Structure and calculated powder diffraction line list of GdB4Os (DFT lattice parameters and positions (PBE); CuKα).
No peak broadening, texture or thermal motion is included.

Principal peaks in the range 10° ≤ 2θ ≤ 80°, sorted by position:
Position (°2θ)  I_rel  h k l
24.8  89  0 0 1
30.8  86  0 4 0
38.0  31  2 3 0
40.0  100  0 4 1
42.8  29  1 4 1
45.9  41  2 3 1

Atomic structure:
Cell lengths 5.999, 11.605, 3.588 Å; angles 90.00, 90.00, 90.00 degrees
Space group Pbam (No. 55)
Unique sites:
Gd 0.128 0.150 0.000 x4
B 0.025 0.691 0.500 x4
B 0.112 0.546 0.500 x4
B 0.137 0.970 0.500 x4
B 0.213 0.815 0.500 x4
Os 0.140 0.407 0.000 x4

Structure and calculated powder diffraction line list of GdB2Os2 (DFT lattice parameters and positions (PBE); CuKα).
No peak broadening, texture or thermal motion is included.

Principal peaks in the range 10° ≤ 2θ ≤ 80°, sorted by position:
Position (°2θ)  I_rel  h k l
31.8  93  1 1 3
33.4  100  2 2 0
40.1  32  0 4 0
42.9  45  1 3 3
50.4  26  3 1 3
58.7  18  3 3 3

Atomic structure:
Cell lengths 6.690, 8.999, 9.905 Å; angles 90.00, 90.00, 90.00 degrees
Space group Fddd (No. 70, origin choice 2)
Unique sites:
Gd 0.125 0.125 0.125 x8
B 0.125 0.314 0.625 x16
Os 0.125 0.125 0.487 x16

Structure and calculated powder diffraction line list of Gd3ReB7 (DFT lattice parameters and positions (PBE); CuKα).
No peak broadening, texture or thermal motion is included.

Principal peaks in the range 10° ≤ 2θ ≤ 80°, sorted by position:
Position (°2θ)  I_rel  h k l
25.7  100  1 1 0
29.2  68  0 4 2
30.5  66  0 2 3
38.6  78  1 1 3
39.1  61  1 5 1
61.1  37  0 10 2

Atomic structure:
Cell lengths 3.551, 16.018, 9.439 Å; angles 90.00, 90.00, 90.00 degrees
Space group Cmcm (No. 63)
Unique sites:
Gd 0.000 0.105 0.061 x8
Gd 0.000 0.244 0.750 x4
Re 0.000 0.054 0.750 x4
B 0.000 0.273 0.032 x8
B 0.000 0.368 0.150 x8
B 0.000 0.459 0.750 x4
B 0.000 0.478 0.095 x8